[1]
The following is a simulated powder X-ray diffraction pattern of PdS4N4. It was derived from a structure optimized by DFT (GGA-PBE), using copper Kα.
No peak broadening, texture or thermal motion is included.

Atomic structure:
Cell: 9.1262 13.4377 8.4718 Å, 90.00 112.78 90.00°
Positions (direct):
Pd1 0.2234 0.1434 0.2743
Pd2 0.2234 0.3566 0.7743
Pd3 0.7766 0.6434 0.2257
Pd4 0.7766 0.8566 0.7257
S1 0.1155 0.5956 0.2660
S2 0.1155 0.9044 0.7660
S3 0.1465 0.5160 0.7698
S4 0.1465 0.9840 0.2698
S5 0.4659 0.1953 0.7984
S6 0.4659 0.3047 0.2984
S7 0.4707 0.1009 0.3045
S8 0.4707 0.3991 0.8045
S9 0.5293 0.6009 0.1955
S10 0.5293 0.8991 0.6955
S11 0.5341 0.6953 0.7016
S12 0.5341 0.8047 0.2016
S13 0.8535 0.0160 0.7302
S14 0.8535 0.4840 0.2302
S15 0.8845 0.0956 0.2340
S16 0.8845 0.4044 0.7340
N1 0.0012 0.1806 0.2450
N2 0.0012 0.3194 0.7450
N3 0.0386 0.0146 0.7532
N4 0.0386 0.4854 0.2532
N5 0.2936 0.2142 0.7794
N6 0.2936 0.2858 0.2794
N7 0.4318 0.7040 0.1874
N8 0.4318 0.7960 0.6874
N9 0.5682 0.2040 0.3126
N10 0.5682 0.2960 0.8126
N11 0.7064 0.7142 0.7206
N12 0.7064 0.7858 0.2206
N13 0.9614 0.5146 0.7468
N14 0.9614 0.9854 0.2468
N15 0.9988 0.6806 0.2550
N16 0.9988 0.8194 0.7550

Main lines, most intense first (2θ = 5–70°):
2theta	I_rel
17.41	100
22.77	92
12.41	71
13.80	40
22.07	39
16.89	19
23.75	15
41.96	14
19.41	13
35.06	12



[2]
The following is a simulated powder X-ray diffraction pattern of Si7PdN10. It was derived from a structure optimized by DFT (GGA-PBE), using copper Kα.
No peak broadening, texture or thermal motion is included.

Atomic structure:
Cell: 6.7601 6.9274 9.7433 Å, 90.00 104.02 90.00°
Positions (direct):
Si1 0.0000 0.0183 0.0000
Si2 0.0000 0.9817 0.5000
Si3 0.1123 0.3635 0.6633
Si4 0.1123 0.6365 0.1633
Si5 0.3037 0.3812 0.9862
Si6 0.3037 0.6188 0.4862
Si7 0.5723 0.4034 0.7501
Si8 0.5723 0.5966 0.2501
Si9 0.7552 0.3790 0.0575
Si10 0.7552 0.6210 0.5575
Si11 0.8132 0.0200 0.6979
Si12 0.8132 0.9800 0.1979
Si13 0.9415 0.3678 0.3617
Si14 0.9415 0.6322 0.8617
Pd1 0.4370 0.0961 0.8651
Pd2 0.4370 0.9039 0.3651
N1 0.0086 0.1400 0.6426
N2 0.0086 0.8600 0.1426
N3 0.1549 0.4194 0.4980
N4 0.1549 0.5806 0.9980
N5 0.2058 0.1550 0.9896
N6 0.2058 0.8450 0.4896
N7 0.3359 0.3814 0.8028
N8 0.3359 0.6186 0.3028
N9 0.5331 0.4315 0.1105
N10 0.5331 0.5685 0.6105
N11 0.6194 0.1640 0.7217
N12 0.6194 0.8360 0.2217
N13 0.7438 0.4974 0.8995
N14 0.7438 0.5026 0.3995
N15 0.7858 0.1322 0.0470
N16 0.7858 0.8678 0.5470
N17 0.9086 0.1204 0.3477
N18 0.9086 0.8796 0.8477
N19 0.9518 0.4601 0.1974
N20 0.9518 0.5399 0.6974

Main lines, most intense first (2θ = 5–70°):
2theta	I_rel
19.34	100
15.86	92
25.75	67
36.91	50
31.93	39
28.86	37
38.62	34
43.41	33
22.33	33
37.27	30



[3]
The following is a simulated powder X-ray diffraction pattern of Sr2PdN2. It was derived from a structure optimized by DFT (GGA-PBE), using copper Kα.
No peak broadening, texture or thermal motion is included.

Atomic structure:
Cell: 7.0768 7.0768 7.0768 Å, 148.41 148.41 45.28°
Positions (direct):
Sr1 0.1501 0.1501 0.0000
Sr2 0.8499 0.8499 0.0000
Pd1 0.5000 0.5000 0.0000
N1 0.3514 0.3514 0.0000
N2 0.6486 0.6486 0.0000

Main lines, most intense first (2θ = 5–70°):
2theta	I_rel
30.99	100
32.88	67
57.53	35
53.91	24
47.18	23
64.60	13
41.48	13
41.77	8
68.94	7
69.16	6



[4]
The following is a simulated powder X-ray diffraction pattern of Zr4Pd2N. It was derived from a structure optimized by DFT (GGA-PBE), using copper Kα.
No peak broadening, texture or thermal motion is included.

Atomic structure:
Cell: 8.8839 8.8839 8.8839 Å, 60.00 60.00 60.00°
Positions (direct):
Zr1 0.0000 0.0000 0.0000
Zr2 0.0000 0.0000 0.5000
Zr3 0.0000 0.5000 0.0000
Zr4 0.1944 0.1944 0.5556
Zr5 0.1944 0.5556 0.1944
Zr6 0.1944 0.5556 0.5556
Zr7 0.4444 0.4444 0.8056
Zr8 0.4444 0.8056 0.4444
Zr9 0.4444 0.8056 0.8056
Zr10 0.5000 0.0000 0.0000
Zr11 0.5556 0.1944 0.1944
Zr12 0.5556 0.1944 0.5556
Zr13 0.5556 0.5556 0.1944
Zr14 0.8056 0.4444 0.4444
Zr15 0.8056 0.4444 0.8056
Zr16 0.8056 0.8056 0.4444
Pd1 0.1423 0.7859 0.7859
Pd2 0.2141 0.2141 0.2141
Pd3 0.2141 0.2141 0.8577
Pd4 0.2141 0.8577 0.2141
Pd5 0.7859 0.1423 0.7859
Pd6 0.7859 0.7859 0.1423
Pd7 0.7859 0.7859 0.7859
Pd8 0.8577 0.2141 0.2141
N1 0.0000 0.5000 0.5000
N2 0.5000 0.0000 0.5000
N3 0.5000 0.5000 0.0000
N4 0.5000 0.5000 0.5000

Main lines, most intense first (2θ = 5–70°):
2theta	I_rel
37.19	100
62.75	31
34.99	30
40.62	24
43.21	9
64.20	8
68.44	7
31.03	6
50.32	6
42.57	5



[5]
The following is a simulated powder X-ray diffraction pattern of Pr3Se3N. It was derived from a structure optimized by DFT (GGA-PBE), using copper Kα.
No peak broadening, texture or thermal motion is included.

Atomic structure:
Cell: 12.8811 4.1871 13.5903 Å, 90.00 90.00 90.00°
Positions (direct):
Pr1 0.0340 0.2500 0.1540
Pr2 0.0805 0.2500 0.6306
Pr3 0.2164 0.2500 0.8658
Pr4 0.2836 0.7500 0.3658
Pr5 0.4195 0.7500 0.1306
Pr6 0.4660 0.7500 0.6540
Pr7 0.5340 0.2500 0.3460
Pr8 0.5805 0.2500 0.8694
Pr9 0.7164 0.2500 0.6342
Pr10 0.7836 0.7500 0.1342
Pr11 0.9195 0.7500 0.3694
Pr12 0.9660 0.7500 0.8460
Se1 0.0841 0.2500 0.3919
Se2 0.1362 0.7500 0.0004
Se3 0.2327 0.7500 0.6954
Se4 0.2673 0.2500 0.1954
Se5 0.3638 0.2500 0.5004
Se6 0.4159 0.7500 0.8919
Se7 0.5841 0.2500 0.1081
Se8 0.6362 0.7500 0.4996
Se9 0.7327 0.7500 0.8046
Se10 0.7673 0.2500 0.3046
Se11 0.8638 0.2500 0.9996
Se12 0.9159 0.7500 0.6081
N1 0.0493 0.2500 0.7969
N2 0.4507 0.7500 0.2969
N3 0.5493 0.2500 0.7031
N4 0.9507 0.7500 0.2031

Main lines, most intense first (2θ = 5–70°):
2theta	I_rel
36.81	100
30.54	80
26.23	73
43.21	56
29.87	55
25.37	49
32.65	47
24.52	44
25.93	39
35.16	30



[6]
The following is a simulated powder X-ray diffraction pattern of PrSi3N5. It was derived from a structure optimized by DFT (GGA-PBE), using copper Kα.
No peak broadening, texture or thermal motion is included.

Atomic structure:
Cell: 4.8185 7.8835 11.3199 Å, 90.00 90.00 90.00°
Positions (direct):
Pr1 0.0054 0.0604 0.1701
Pr2 0.4946 0.9396 0.6701
Pr3 0.5054 0.4396 0.8299
Pr4 0.9946 0.5604 0.3299
Si1 0.0143 0.1620 0.8394
Si2 0.0166 0.2931 0.5833
Si3 0.0238 0.4669 0.0410
Si4 0.4762 0.5331 0.5410
Si5 0.4834 0.7069 0.0833
Si6 0.4857 0.8380 0.3394
Si7 0.5143 0.3380 0.1606
Si8 0.5166 0.2069 0.4167
Si9 0.5238 0.0331 0.9590
Si10 0.9762 0.9669 0.4590
Si11 0.9834 0.7931 0.9167
Si12 0.9857 0.6620 0.6606
N1 0.0461 0.3425 0.9203
N2 0.1657 0.2066 0.7052
N3 0.1705 0.3891 0.1677
N4 0.1848 0.9816 0.9069
N5 0.2041 0.6497 0.9896
N6 0.2959 0.3503 0.4896
N7 0.3152 0.0184 0.4069
N8 0.3295 0.6109 0.6677
N9 0.3343 0.7934 0.2052
N10 0.4539 0.6575 0.4203
N11 0.5461 0.1575 0.0797
N12 0.6657 0.2934 0.2948
N13 0.6705 0.1109 0.8323
N14 0.6848 0.5184 0.0931
N15 0.7041 0.8503 0.0104
N16 0.7959 0.1497 0.5104
N17 0.8152 0.4816 0.5931
N18 0.8295 0.8891 0.3323
N19 0.8343 0.7066 0.7948
N20 0.9539 0.8425 0.5797

Main lines, most intense first (2θ = 5–70°):
2theta	I_rel
32.20	100
30.34	70
20.03	38
42.33	34
51.10	32
33.65	29
37.32	25
19.31	24
33.36	24
57.40	24



[7]
The following is a simulated powder X-ray diffraction pattern of Pr3Si6N11. It was derived from a structure optimized by DFT (GGA-PBE), using copper Kα.
No peak broadening, texture or thermal motion is included.

Atomic structure:
Cell: 10.1797 10.1797 4.8990 Å, 90.00 90.00 90.00°
Positions (direct):
Pr1 0.0000 0.0000 0.0000
Pr2 0.1820 0.3180 0.0144
Pr3 0.3180 0.8180 0.0144
Pr4 0.5000 0.5000 0.0000
Pr5 0.6820 0.1820 0.0144
Pr6 0.8180 0.6820 0.0144
Si1 0.0794 0.7913 0.5427
Si2 0.1173 0.6173 0.0535
Si3 0.2087 0.0794 0.5427
Si4 0.2913 0.5794 0.5427
Si5 0.3827 0.1173 0.0535
Si6 0.4206 0.2913 0.5427
Si7 0.5794 0.7087 0.5427
Si8 0.6173 0.8827 0.0535
Si9 0.7087 0.4206 0.5427
Si10 0.7913 0.9206 0.5427
Si11 0.8827 0.3827 0.0535
Si12 0.9206 0.2087 0.5427
N1 0.0000 0.5000 0.0789
N2 0.0760 0.7698 0.1903
N3 0.0792 0.1792 0.6532
N4 0.1544 0.6544 0.7081
N5 0.1792 0.9208 0.6532
N6 0.2302 0.0760 0.1903
N7 0.2698 0.5760 0.1903
N8 0.3208 0.4208 0.6532
N9 0.3456 0.1544 0.7081
N10 0.4208 0.6792 0.6532
N11 0.4240 0.2698 0.1903
N12 0.5000 0.0000 0.0789
N13 0.5760 0.7302 0.1903
N14 0.5792 0.3208 0.6532
N15 0.6544 0.8456 0.7081
N16 0.6792 0.5792 0.6532
N17 0.7302 0.4240 0.1903
N18 0.7698 0.9240 0.1903
N19 0.8208 0.0792 0.6532
N20 0.8456 0.3456 0.7081
N21 0.9208 0.8208 0.6532
N22 0.9240 0.2302 0.1903

Main lines, most intense first (2θ = 5–70°):
2theta	I_rel
33.30	100
18.11	77
30.83	71
26.73	62
36.71	47
36.39	43
27.71	40
40.93	35
52.63	32
12.30	24